1.
Starting from a DFT-relaxed cell (GGA-PBE, Alexandria), the powder XRD pattern of Y3PdSe2 was calculated for copper Kα.
Intensities are scaled so that the largest is 100.

Structure:
Lattice parameters (Å, degrees): 13.476 12.859 7.157 79.05 69.52 31.43
Sites, in units of the cell vectors:
Y1 0.038 0.541 0.201
Y2 0.119 0.631 0.631
Y3 0.201 0.720 0.038
Y4 0.280 0.799 0.459
Y5 0.369 0.881 0.881
Y6 0.459 0.962 0.280
Y7 0.541 0.038 0.720
Y8 0.631 0.119 0.119
Y9 0.720 0.201 0.541
Y10 0.799 0.280 0.962
Y11 0.881 0.369 0.369
Y12 0.962 0.459 0.799
Pd1 0.042 0.042 0.208
Pd2 0.208 0.208 0.042
Pd3 0.792 0.792 0.958
Pd4 0.958 0.958 0.792
Se1 0.127 0.127 0.623
Se2 0.294 0.294 0.456
Se3 0.377 0.377 0.873
Se4 0.456 0.456 0.294
Se5 0.544 0.544 0.706
Se6 0.623 0.623 0.127
Se7 0.706 0.706 0.544
Se8 0.873 0.873 0.377

Principal peaks in the range 2θ = 10–90°, low angle first:
2θ/deg	I (rel.)
30.74	100
43.28	13
44.05	48
44.72	11
54.05	13
55.27	12
63.98	8
72.68	10
72.78	10
79.93	8

2.
Starting from a DFT-relaxed cell (GGA-PBE, Alexandria), the powder XRD pattern of SiPd3 was calculated for copper Kα.
Intensities are scaled so that the largest is 100.

Structure:
Lattice parameters (Å, degrees): 5.895 7.628 5.302 90.00 90.00 90.00
Sites, in units of the cell vectors:
Si1 0.108 0.250 0.034
Si2 0.392 0.750 0.534
Si3 0.608 0.250 0.466
Si4 0.892 0.750 0.966
Pd1 0.007 0.750 0.401
Pd2 0.179 0.552 0.825
Pd3 0.179 0.948 0.825
Pd4 0.321 0.052 0.325
Pd5 0.321 0.448 0.325
Pd6 0.493 0.250 0.901
Pd7 0.507 0.750 0.099
Pd8 0.679 0.552 0.675
Pd9 0.679 0.948 0.675
Pd10 0.821 0.052 0.175
Pd11 0.821 0.448 0.175
Pd12 0.993 0.250 0.599

Principal peaks in the range 2θ = 10–90°, low angle first:
2θ/deg	I (rel.)
32.67	65
34.83	53
36.83	47
37.19	55
38.60	100
39.09	73
39.30	92
41.49	43
42.32	82
44.36	45

3.
Starting from a DFT-relaxed cell (GGA-PBE, Alexandria), the powder XRD pattern of Si2Pd9 was calculated for copper Kα.
Intensities are scaled so that the largest is 100.

Structure:
Lattice parameters (Å, degrees): 9.171 7.526 9.539 90.00 90.00 90.00
Sites, in units of the cell vectors:
Si1 0.131 0.250 0.211
Si2 0.227 0.750 0.322
Si3 0.273 0.250 0.822
Si4 0.369 0.750 0.711
Si5 0.631 0.250 0.289
Si6 0.727 0.750 0.178
Si7 0.773 0.250 0.678
Si8 0.869 0.750 0.789
Pd1 0.050 0.250 0.665
Pd2 0.059 0.250 0.970
Pd3 0.102 0.566 0.819
Pd4 0.102 0.934 0.819
Pd5 0.112 0.058 0.406
Pd6 0.112 0.442 0.406
Pd7 0.149 0.750 0.568
Pd8 0.182 0.559 0.122
Pd9 0.182 0.941 0.122
Pd10 0.318 0.059 0.622
Pd11 0.318 0.441 0.622
Pd12 0.351 0.250 0.068
Pd13 0.388 0.558 0.906
Pd14 0.388 0.942 0.906
Pd15 0.398 0.066 0.319
Pd16 0.398 0.434 0.319
Pd17 0.441 0.750 0.470
Pd18 0.450 0.750 0.165
Pd19 0.550 0.250 0.835
Pd20 0.559 0.250 0.530
Pd21 0.602 0.566 0.681
Pd22 0.602 0.934 0.681
Pd23 0.612 0.058 0.094
Pd24 0.612 0.442 0.094
Pd25 0.649 0.750 0.932
Pd26 0.682 0.559 0.378
Pd27 0.682 0.941 0.378
Pd28 0.818 0.059 0.878
Pd29 0.818 0.441 0.878
Pd30 0.851 0.250 0.432
Pd31 0.888 0.558 0.594
Pd32 0.888 0.942 0.594
Pd33 0.898 0.066 0.181
Pd34 0.898 0.434 0.181
Pd35 0.941 0.750 0.030
Pd36 0.950 0.750 0.335

Principal peaks in the range 2θ = 10–90°, low angle first:
2θ/deg	I (rel.)
32.11	26
34.86	23
38.36	100
39.29	21
40.46	18
40.91	60
41.16	19
42.11	80
42.56	42
42.75	24

4.
Starting from a DFT-relaxed cell (GGA-PBE, Alexandria), the powder XRD pattern of SiPd6 was calculated for copper Kα.
Intensities are scaled so that the largest is 100.

Structure:
Lattice parameters (Å, degrees): 5.042 5.042 8.517 90.00 90.00 79.34
Sites, in units of the cell vectors:
Si1 0.020 0.980 0.750
Si2 0.980 0.020 0.250
Pd1 0.118 0.531 0.250
Pd2 0.181 0.181 0.000
Pd3 0.181 0.181 0.500
Pd4 0.343 0.657 0.596
Pd5 0.343 0.657 0.904
Pd6 0.469 0.882 0.250
Pd7 0.531 0.118 0.750
Pd8 0.657 0.343 0.096
Pd9 0.657 0.343 0.404
Pd10 0.819 0.819 0.000
Pd11 0.819 0.819 0.500
Pd12 0.882 0.469 0.750

Principal peaks in the range 2θ = 10–90°, low angle first:
2θ/deg	I (rel.)
34.94	82
36.48	88
37.46	34
38.98	100
42.20	78
42.46	58
43.26	87
43.77	60
48.78	53
72.42	40